This entry pairs a crystal structure of AcCuAs2Pd5 with its simulated X-ray powder pattern. Radiation: Cu Kα (λ = 1.5418 Å). Structure: a DFT-relaxed cell (GGA-PBE, Alexandria).

Peak list (6 most intense, 2θ from 15° to 90°, sorted by position)
2theta, I/Imax
28.7, 43.1
35.7, 96.8
36.6, 32.1
37.0, 100.0
53.0, 44.3
53.3, 39.1

Crystal structure
Cell lengths 4.8611, 4.8611, 7.3590 Å; angles 90.00, 90.00, 90.00 degrees
Atoms (fractional coordinates):
1 Ac 0.0000 0.0000 0.0000
2 Cu 0.0000 0.0000 0.5000
3 As 0.5000 0.5000 0.3303
4 As 0.5000 0.5000 0.6697
5 Pd 0.0000 0.5000 0.3035
6 Pd 0.0000 0.5000 0.6965
7 Pd 0.5000 0.0000 0.3035
8 Pd 0.5000 0.0000 0.6965
9 Pd 0.5000 0.5000 0.0000

***

This entry pairs a crystal structure of Ac2Nd3Dy2 with its simulated X-ray powder pattern. Radiation: Cu Kα (λ = 1.5418 Å). Structure: a DFT-relaxed cell (GGA-PBE, Alexandria).

Peak list (6 most intense, 2θ from 15° to 90°, sorted by position)
2theta, I/Imax
29.3, 100.0
33.8, 17.3
33.9, 16.7
34.0, 17.0
48.7, 18.5
57.7, 15.0

Crystal structure
Cell lengths 11.8549, 5.2661, 8.3500 Å; angles 90.00, 98.07, 90.00 degrees
Atoms (fractional coordinates):
1 Ac 0.1426 0.0000 0.4233
2 Ac 0.3574 0.5000 0.5767
3 Ac 0.6426 0.5000 0.4233
4 Ac 0.8574 0.0000 0.5767
5 Nd 0.0000 0.0000 0.0000
6 Nd 0.0709 0.5000 0.7261
7 Nd 0.4291 0.0000 0.2739
8 Nd 0.5000 0.5000 0.0000
9 Nd 0.5709 0.0000 0.7261
10 Nd 0.9291 0.5000 0.2739
11 Dy 0.2178 0.5000 0.1345
12 Dy 0.2822 0.0000 0.8655
13 Dy 0.7178 0.0000 0.1345
14 Dy 0.7822 0.5000 0.8655

***

This entry pairs a crystal structure of SnS3Br3 with its simulated X-ray powder pattern. Radiation: Cu Kα (λ = 1.5418 Å). Structure: a DFT-relaxed cell (GGA-PBE, Alexandria).

Peak list (6 most intense, 2θ from 15° to 90°, sorted by position)
2theta, I/Imax
23.9, 100.0
28.9, 28.0
31.3, 50.1
31.7, 46.7
32.6, 36.7
37.6, 30.1

Crystal structure
Cell lengths 8.6644, 8.6644, 8.6644 Å; angles 61.07, 61.07, 61.07 degrees
Atoms (fractional coordinates):
1 Sn 0.1774 0.1774 0.1774
2 Sn 0.8226 0.8226 0.8226
3 S 0.2710 0.4743 0.5317
4 S 0.4683 0.7290 0.5257
5 S 0.4743 0.5317 0.2710
6 S 0.5257 0.4683 0.7290
7 S 0.5317 0.2710 0.4743
8 S 0.7290 0.5257 0.4683
9 Br 0.0406 0.1796 0.5389
10 Br 0.1796 0.5389 0.0406
11 Br 0.4611 0.9594 0.8204
12 Br 0.5389 0.0406 0.1796
13 Br 0.8204 0.4611 0.9594
14 Br 0.9594 0.8204 0.4611

***

This entry pairs a crystal structure of SbPb with its simulated X-ray powder pattern. Radiation: Cu Kα (λ = 1.5418 Å). Structure: a DFT-relaxed cell (GGA-PBE, Alexandria).

Peak list (6 most intense, 2θ from 15° to 90°, sorted by position)
2theta, I/Imax
27.8, 100.0
29.5, 85.6
31.1, 75.2
31.5, 72.5
41.0, 71.5
42.2, 66.1

Crystal structure
Cell lengths 6.8181, 6.4240, 3.2450 Å; angles 90.00, 117.48, 90.00 degrees
Atoms (fractional coordinates):
1 Sb 0.0000 0.0000 0.0000
2 Sb 0.5000 0.5000 0.0000
3 Pb 0.0000 0.5000 0.9918
4 Pb 0.5000 0.0000 0.9918

***

This entry pairs a crystal structure of Sr2In6Pt with its simulated X-ray powder pattern. Radiation: Cu Kα (λ = 1.5418 Å). Structure: a DFT-relaxed cell (GGA-PBE, Alexandria).

Peak list (6 most intense, 2θ from 15° to 90°, sorted by position)
2theta, I/Imax
15.2, 21.7
30.3, 30.7
32.7, 21.2
34.1, 100.0
42.6, 31.1
54.7, 24.9

Crystal structure
Cell lengths 6.7115, 6.7115, 6.2001 Å; angles 90.00, 90.00, 120.00 degrees
Atoms (fractional coordinates):
1 Sr 0.3333 0.6667 0.1735
2 Sr 0.6667 0.3333 0.8265
3 In 0.1728 0.3455 0.6906
4 In 0.1728 0.8272 0.6906
5 In 0.3455 0.1728 0.3094
6 In 0.6545 0.8272 0.6906
7 In 0.8272 0.1728 0.3094
8 In 0.8272 0.6545 0.3094
9 Pt 0.0000 0.0000 0.0000

***

This entry pairs a crystal structure of TaBe2Rh with its simulated X-ray powder pattern. Radiation: Cu Kα (λ = 1.5418 Å). Structure: a DFT-relaxed cell (GGA-PBE, Alexandria).

Peak list (6 most intense, 2θ from 15° to 90°, sorted by position)
2theta, I/Imax
19.6, 36.4
31.4, 100.0
32.6, 34.4
41.0, 90.7
43.4, 52.0
68.1, 27.3

Crystal structure
Cell lengths 3.6719, 2.8827, 9.0404 Å; angles 90.00, 90.00, 90.00 degrees
Atoms (fractional coordinates):
1 Ta 0.0000 0.0000 0.0000
2 Ta 0.0000 0.5000 0.5000
3 Be 0.0000 0.0000 0.7270
4 Be 0.0000 0.5000 0.2270
5 Be 0.5000 0.0000 0.6048
6 Be 0.5000 0.5000 0.1048
7 Rh 0.5000 0.0000 0.3158
8 Rh 0.5000 0.5000 0.8158

***

This entry pairs a crystal structure of Tb5Sm2YIn with its simulated X-ray powder pattern. Radiation: Cu Kα (λ = 1.5418 Å). Structure: a DFT-relaxed cell (GGA-PBE, Alexandria).

Peak list (6 most intense, 2θ from 15° to 90°, sorted by position)
2theta, I/Imax
27.0, 13.5
30.4, 27.2
32.5, 100.0
33.1, 32.2
33.6, 15.5
58.8, 18.6

Crystal structure
Cell lengths 10.3467, 10.3467, 10.6803 Å; angles 90.00, 90.00, 149.67 degrees
Atoms (fractional coordinates):
1 Tb 0.0000 0.0000 0.0000
2 Tb 0.0000 0.0000 0.5000
3 Tb 0.1147 0.8853 0.7500
4 Tb 0.2089 0.7911 0.0488
5 Tb 0.2089 0.7911 0.4512
6 Tb 0.4860 0.5140 0.7500
7 Tb 0.5140 0.4860 0.2500
8 Tb 0.7911 0.2089 0.5488
9 Tb 0.7911 0.2089 0.9512
10 Tb 0.8853 0.1147 0.2500
11 Sm 0.3839 0.6161 0.0450
12 Sm 0.3839 0.6161 0.4550
13 Sm 0.6161 0.3839 0.5450
14 Sm 0.6161 0.3839 0.9550
15 Y 0.2935 0.7065 0.7500
16 Y 0.7065 0.2935 0.2500
17 In 0.0949 0.9051 0.2500
18 In 0.9051 0.0949 0.7500

***

This entry pairs a crystal structure of K4Th3Se8 with its simulated X-ray powder pattern. Radiation: Cu Kα (λ = 1.5418 Å). Structure: a DFT-relaxed cell (GGA-PBE, Alexandria).

Peak list (6 most intense, 2θ from 15° to 90°, sorted by position)
2theta, I/Imax
23.6, 39.8
27.5, 100.0
34.6, 52.9
37.5, 39.6
40.9, 45.9
42.4, 27.0

Crystal structure
Cell lengths 9.6660, 9.6660, 9.6660 Å; angles 54.35, 54.35, 54.35 degrees
Atoms (fractional coordinates):
1 K 0.0000 0.0000 0.0000
2 K 0.1416 0.1416 0.1416
3 K 0.5000 0.5000 0.5000
4 K 0.8584 0.8584 0.8584
5 Th 0.0000 0.5000 0.5000
6 Th 0.5000 0.0000 0.5000
7 Th 0.5000 0.5000 0.0000
8 Se 0.2469 0.2469 0.7016
9 Se 0.2469 0.7016 0.2469
10 Se 0.2709 0.2709 0.2709
11 Se 0.2984 0.7531 0.7531
12 Se 0.7016 0.2469 0.2469
13 Se 0.7291 0.7291 0.7291
14 Se 0.7531 0.2984 0.7531
15 Se 0.7531 0.7531 0.2984

***

This entry pairs a crystal structure of Ca2Bi4Rh5 with its simulated X-ray powder pattern. Radiation: Cu Kα (λ = 1.5418 Å). Structure: a DFT-relaxed cell (GGA-PBE, Alexandria).

Peak list (6 most intense, 2θ from 15° to 90°, sorted by position)
2theta, I/Imax
17.0, 83.8
18.0, 91.5
30.2, 85.7
33.9, 100.0
37.2, 99.7
41.2, 68.6

Crystal structure
Cell lengths 9.8748, 8.8839, 6.0042 Å; angles 80.58, 62.56, 36.86 degrees
Atoms (fractional coordinates):
1 Ca 0.1063 0.1063 0.8937
2 Ca 0.8937 0.8937 0.1063
3 Bi 0.2099 0.5333 0.4667
4 Bi 0.4667 0.7901 0.2099
5 Bi 0.5333 0.2099 0.7901
6 Bi 0.7901 0.4667 0.5333
7 Rh 0.0000 0.0000 0.5000
8 Rh 0.2500 0.2500 0.2500
9 Rh 0.5000 0.5000 0.0000
10 Rh 0.5000 0.5000 0.5000
11 Rh 0.7500 0.7500 0.7500

***

This entry pairs a crystal structure of HfTaZnO6 with its simulated X-ray powder pattern. Radiation: Cu Kα (λ = 1.5418 Å). Structure: a DFT-relaxed cell (GGA-PBE, Alexandria).

Peak list (6 most intense, 2θ from 15° to 90°, sorted by position)
2theta, I/Imax
20.7, 21.7
26.1, 100.0
34.0, 81.8
37.2, 25.1
51.3, 66.3
65.1, 19.2

Crystal structure
Cell lengths 4.8321, 4.8321, 9.4360 Å; angles 90.00, 90.00, 90.00 degrees
Atoms (fractional coordinates):
1 Hf 0.0000 0.0000 0.0000
2 Hf 0.5000 0.5000 0.5000
3 Ta 0.0000 0.0000 0.6679
4 Ta 0.5000 0.5000 0.1679
5 Zn 0.0000 0.0000 0.3325
6 Zn 0.5000 0.5000 0.8325
7 O 0.1912 0.1912 0.8259
8 O 0.1958 0.1958 0.5088
9 O 0.2061 0.2061 0.1615
10 O 0.2939 0.7061 0.6615
11 O 0.3042 0.6958 0.0088
12 O 0.3088 0.6912 0.3259
13 O 0.6912 0.3088 0.3259
14 O 0.6958 0.3042 0.0088
15 O 0.7061 0.2939 0.6615
16 O 0.7939 0.7939 0.1615
17 O 0.8042 0.8042 0.5088
18 O 0.8088 0.8088 0.8259

***

This entry pairs a crystal structure of YMgAu with its simulated X-ray powder pattern. Radiation: Cu Kα (λ = 1.5418 Å). Structure: a DFT-relaxed cell (GGA-PBE, Alexandria).

Peak list (6 most intense, 2θ from 15° to 90°, sorted by position)
2theta, I/Imax
22.9, 52.9
23.3, 40.1
24.6, 35.8
29.9, 100.0
38.0, 94.2
41.2, 62.2

Crystal structure
Cell lengths 4.0892, 4.3832, 7.7795 Å; angles 90.00, 90.00, 90.00 degrees
Atoms (fractional coordinates):
1 Y 0.2500 0.2500 0.1467
2 Y 0.7500 0.7500 0.8533
3 Mg 0.2500 0.7500 0.5018
4 Mg 0.7500 0.2500 0.4982
5 Au 0.2500 0.2500 0.7569
6 Au 0.7500 0.7500 0.2431

***

This entry pairs a crystal structure of Pu4CdPt3 with its simulated X-ray powder pattern. Radiation: Cu Kα (λ = 1.5418 Å). Structure: a DFT-relaxed cell (GGA-PBE, Alexandria).

Peak list (6 most intense, 2θ from 15° to 90°, sorted by position)
2theta, I/Imax
32.1, 28.4
32.8, 60.2
35.6, 57.4
35.9, 39.2
36.6, 100.0
39.5, 29.7

Crystal structure
Cell lengths 8.4450, 8.4450, 8.4450 Å; angles 96.25, 96.25, 141.46 degrees
Atoms (fractional coordinates):
1 Pu 0.0831 0.7744 0.8575
2 Pu 0.2256 0.0831 0.3087
3 Pu 0.2744 0.5831 0.8575
4 Pu 0.4169 0.2744 0.6913
5 Pu 0.5831 0.7256 0.3087
6 Pu 0.7256 0.4169 0.1425
7 Pu 0.7744 0.9169 0.6913
8 Pu 0.9169 0.2256 0.1425
9 Cd 0.2500 0.7500 0.5000
10 Cd 0.7500 0.2500 0.5000
11 Pt 0.1617 0.3383 0.5000
12 Pt 0.2500 0.2500 0.0000
13 Pt 0.3383 0.8383 0.1766
14 Pt 0.6617 0.1617 0.8234
15 Pt 0.7500 0.7500 0.0000
16 Pt 0.8383 0.6617 0.5000

***

This entry pairs a crystal structure of Pm2YTm5Th with its simulated X-ray powder pattern. Radiation: Cu Kα (λ = 1.5418 Å). Structure: a DFT-relaxed cell (GGA-PBE, Alexandria).

Peak list (6 most intense, 2θ from 15° to 90°, sorted by position)
2theta, I/Imax
29.0, 41.2
29.1, 53.8
31.3, 100.0
32.6, 20.9
43.4, 19.0
53.0, 25.1

Crystal structure
Cell lengths 9.7596, 9.7596, 9.7596 Å; angles 127.22, 127.22, 77.90 degrees
Atoms (fractional coordinates):
1 Pm 0.1153 0.6153 0.7306
2 Pm 0.3847 0.1153 0.5000
3 Pm 0.6153 0.8847 0.5000
4 Pm 0.8847 0.3847 0.2694
5 Y 0.2500 0.7500 0.5000
6 Y 0.7500 0.2500 0.5000
7 Tm 0.0000 0.0000 0.0000
8 Tm 0.0746 0.1484 0.5000
9 Tm 0.1484 0.6484 0.0737
10 Tm 0.3516 0.4254 0.5000
11 Tm 0.4254 0.9254 0.0737
12 Tm 0.5000 0.5000 0.0000
13 Tm 0.5746 0.0746 0.9263
14 Tm 0.6484 0.5746 0.5000
15 Tm 0.8516 0.3516 0.9263
16 Tm 0.9254 0.8516 0.5000
17 Th 0.2500 0.2500 0.0000
18 Th 0.7500 0.7500 0.0000